Entry 1:
Starting from a crystal structure in Alexandria, relaxed with GGA-PBE, the PXRD pattern of KInW2 was simulated for copper Kα.
Intensities are scaled so that the largest is 100.

Structural model:
```
data_KInW2
_space_group_name_H-M_alt 'C m m 2'
_space_group_IT_number 35
_space_group_name_Hall 'C 2 -2'
_cell_length_a 3.302
_cell_length_b 4.944
_cell_length_c 10.647
_cell_angle_alpha 90.00
_cell_angle_beta 90.00
_cell_angle_gamma 90.00
loop_
_atom_site_label
_atom_site_type_symbol
_atom_site_fract_x
_atom_site_fract_y
_atom_site_fract_z
K1 K 0.000 0.000 0.000
In1 In 0.000 0.500 0.290
W1 W 0.000 0.000 0.525
W2 W 0.000 0.500 0.708
```

Most intense lines, 10° ≤ 2θ ≤ 80°, low angle first:
d_spacing	Position (°2θ)	intensity	hkl
2.661	33.68	20	0 0 4
2.472	36.34	31	0 2 0
2.441	36.83	100	1 1 2
2.408	37.35	12	0 2 1
2.172	41.58	40	1 1 3
2.129	42.45	12	0 0 5
1.811	50.38	11	0 2 4
1.613	57.09	10	0 2 5
1.421	65.71	18	1 3 2
1.362	68.96	13	1 3 3

Entry 2:
Starting from a crystal structure in Alexandria, relaxed with GGA-PBE, the PXRD pattern of Er2Mn16W was simulated for copper Kα.
Intensities are scaled so that the largest is 100.

Structural model:
```
data_Er2Mn16W
_space_group_name_H-M_alt 'R 3 m'
_space_group_IT_number 160
_space_group_name_Hall 'R 3 -2"'
_cell_length_a 8.6630
_cell_length_b 8.6630
_cell_length_c 11.7301
_cell_angle_alpha 90.00
_cell_angle_beta 90.00
_cell_angle_gamma 120.00
loop_
_atom_site_label
_atom_site_type_symbol
_atom_site_fract_x
_atom_site_fract_y
_atom_site_fract_z
Er1 Er 0.0000 0.0000 0.0000
Er2 Er 0.0000 0.0000 0.2890
Mn1 Mn 0.0000 0.0000 0.5368
Mn2 Mn 0.0007 0.5004 0.1429
Mn3 Mn 0.0089 0.5045 0.5083
Mn4 Mn 0.0553 0.3877 0.3074
Mn5 Mn 0.1728 0.3457 0.1134
W1 W 0.0000 0.0000 0.7417
```

Most intense lines, 10° ≤ 2θ ≤ 80°, low angle first:
d_spacing	Position (°2θ)	intensity	hkl
4.331	20.50	43	1 1 0
2.902	30.81	38	1 1 3
2.731	32.79	30	1 0 4
2.501	35.91	67	3 0 0
2.310	38.99	75	0 2 4
2.166	41.70	100	2 2 0
2.107	42.93	79	3 0 3
2.038	44.44	47	2 1 4
1.989	45.61	29	2 0 5
1.443	64.59	24	2 1 7

Entry 3:
Starting from a crystal structure in Alexandria, relaxed with GGA-PBE, the PXRD pattern of KAgOs was simulated for copper Kα.
Intensities are scaled so that the largest is 100.

Structural model:
```
data_KAgOs
_space_group_name_H-M_alt 'P 3 m 1'
_space_group_IT_number 156
_space_group_name_Hall 'P 3 -2"'
_cell_length_a 2.8221
_cell_length_b 2.8221
_cell_length_c 8.3207
_cell_angle_alpha 90.00
_cell_angle_beta 90.00
_cell_angle_gamma 120.00
loop_
_atom_site_label
_atom_site_type_symbol
_atom_site_fract_x
_atom_site_fract_y
_atom_site_fract_z
K1 K 0.0000 0.0000 0.0000
Ag1 Ag 0.3333 0.6667 0.6348
Os1 Os 0.6667 0.3333 0.3406
```

Most intense lines, 10° ≤ 2θ ≤ 80°, low angle first:
d_spacing	Position (°2θ)	intensity	hkl
8.321	10.63	100	0 0 1
2.774	32.28	35	0 0 3
2.444	36.77	12	1 0 0
2.345	38.39	80	1 0 1
2.107	42.92	66	0 1 2
1.834	49.72	14	0 1 3
1.584	58.24	18	1 0 4
1.411	66.23	14	1 1 0
1.376	68.17	16	0 1 5
1.258	75.61	17	1 1 3

Entry 4:
Starting from a crystal structure in Alexandria, relaxed with GGA-PBE, the PXRD pattern of CaSn2O4 was simulated for copper Kα.
Intensities are scaled so that the largest is 100.

Structural model:
```
data_CaSn2O4
_space_group_name_H-M_alt 'P m m n'
_space_group_IT_number 59
_cell_length_a 6.348
_cell_length_b 11.988
_cell_length_c 7.486
_cell_angle_alpha 90.00
_cell_angle_beta 90.00
_cell_angle_gamma 90.00
loop_
_space_group_symop_operation_xyz
'x,y,z'
'-x,-y,-z'
'-x+1/2,-y+1/2,z'
'x+1/2,y+1/2,-z'
'x+1/2,-y,-z'
'-x+1/2,y,z'
'-x,y+1/2,-z'
'x,-y+1/2,z'
loop_
_atom_site_label
_atom_site_type_symbol
_atom_site_fract_x
_atom_site_fract_y
_atom_site_fract_z
Ca1 Ca 0.250 0.250 0.038
Ca2 Ca 0.250 0.750 0.739
Sn1 Sn 0.000 0.000 0.000
Sn2 Sn 0.250 0.045 0.366
O1 O 0.016 0.125 0.203
O2 O 0.250 0.083 0.879
O3 O 0.250 0.575 0.151
```

Most intense lines, 10° ≤ 2θ ≤ 80°, low angle first:
d_spacing	Position (°2θ)	intensity	hkl
7.486	11.82	39	0 0 1
6.350	13.95	25	0 1 1
5.994	14.78	100	0 2 0
4.841	18.32	20	1 0 1
3.766	23.62	31	1 2 1
2.922	30.59	26	2 0 1
2.839	31.51	22	1 2 2
2.627	34.14	53	2 2 1
2.244	40.18	21	2 2 2
1.557	59.37	20	2 2 4